Simulated powder diffractogram of Na4CrH6ClO7 for CuKα, from a DFT-relaxed cell (GGA+U, the Materials Project).
No peak broadening, texture or thermal motion is included.

Top 12 peaks for 2θ from 15° to 90°, in order of falling intensity:
- 36.64 deg, d = 2.452 Å, I 100
- 37.00 deg, d = 2.430 Å, I 79
- 38.71 deg, d = 2.326 Å, I 77
- 23.33 deg, d = 3.813 Å, I 34
- 55.14 deg, d = 1.666 Å, I 32
- 15.94 deg, d = 5.558 Å, I 32
- 24.92 deg, d = 3.572 Å, I 26
- 51.49 deg, d = 1.775 Å, I 25
- 53.56 deg, d = 1.711 Å, I 24
- 54.13 deg, d = 1.694 Å, I 24
- 23.17 deg, d = 3.838 Å, I 22
- 16.83 deg, d = 5.268 Å, I 21

Structure:
```
Na4CrH6ClO7
1.0
5.944 0.000 0.000
-1.600 8.711 0.000
-1.446 -1.646 8.583
Na Cr H Cl O
8 2 12 2 14
Cartesian
0.630 3.725 0.361 Na
0.023 -1.016 8.088 Na
0.009 1.625 5.886 Na
-0.777 7.381 4.869 Na
3.675 -0.315 3.714 Na
2.889 5.440 2.696 Na
2.874 8.082 0.494 Na
2.267 3.341 8.221 Na
-0.079 6.768 1.604 Cr
2.977 0.298 6.979 Cr
-1.998 5.190 7.644 H
0.013 -0.183 2.664 H
-0.721 4.422 2.393 H
0.665 5.547 3.798 H
-0.013 4.453 8.251 H
2.014 0.595 1.985 H
0.883 6.470 6.597 H
2.911 2.613 0.331 H
2.233 1.519 4.785 H
3.618 2.643 6.190 H
2.885 7.248 5.918 H
4.896 1.876 0.939 H
1.880 2.746 2.573 Cl
1.018 4.319 6.010 Cl
-1.721 7.568 2.536 O
-0.851 1.631 3.641 O
-0.999 4.982 1.646 O
-2.465 5.446 8.462 O
0.833 6.401 3.357 O
2.454 -0.211 1.624 O
1.541 5.977 0.636 O
1.357 1.089 7.946 O
0.444 7.277 6.959 O
2.065 0.664 5.226 O
5.362 1.619 0.120 O
3.897 2.083 6.936 O
3.749 5.435 4.942 O
4.618 -0.503 6.046 O
```